No. 1
Structure and computed XRD peak list of Tb3Dy2In6 (a crystal structure in Alexandria, relaxed with GGA-PBE; Cu Ka).
No peak broadening, texture or thermal motion is included.

Cell and atoms:
```
data_Tb3Dy2In6
_chemical_formula_sum 'Tb3 Dy2 In6'
_cell_length_a 11.929
_cell_length_b 11.929
_cell_length_c 11.929
_cell_angle_alpha 151.86
_cell_angle_beta 151.86
_cell_angle_gamma 40.21
_space_group_name_H-M_alt 'P 1'
_space_group_IT_number 1
loop_
_space_group_symop_operation_xyz
'x,y,z'
loop_
_atom_site_label
_atom_site_type_symbol
_atom_site_fract_x
_atom_site_fract_y
_atom_site_fract_z
Tb1 Tb 0.000 0.000 0.000
Tb2 Tb 0.145 0.145 0.000
Tb3 Tb 0.855 0.855 0.000
Dy1 Dy 0.423 0.423 0.000
Dy2 Dy 0.577 0.577 0.000
In1 In 0.069 0.569 0.500
In2 In 0.284 0.284 0.000
In3 In 0.431 0.931 0.500
In4 In 0.569 0.069 0.500
In5 In 0.716 0.716 0.000
In6 In 0.931 0.431 0.500
```

Principal peaks in the range 2θ = 10–80°, by angle:
d = 4.101 Å, intensity 33
d = 2.900 Å, intensity 100
d = 2.803 Å, intensity 97
d = 2.050 Å, intensity 37
d = 2.015 Å, intensity 73
d = 1.655 Å, intensity 20
d = 1.437 Å, intensity 23
d = 1.401 Å, intensity 20
d = 1.297 Å, intensity 16
d = 1.288 Å, intensity 18

No. 2
Structure and computed XRD peak list of Tb7DyIn2 (a crystal structure in Alexandria, relaxed with GGA-PBE; Cu Ka).
No peak broadening, texture or thermal motion is included.

Cell and atoms:
```
data_Tb7DyIn2
_chemical_formula_sum 'Tb7 Dy1 In2'
_cell_length_a 9.029
_cell_length_b 9.029
_cell_length_c 5.377
_cell_angle_alpha 90.00
_cell_angle_beta 90.00
_cell_angle_gamma 119.03
_space_group_name_H-M_alt 'P 1'
_space_group_IT_number 1
loop_
_space_group_symop_operation_xyz
'x,y,z'
loop_
_atom_site_label
_atom_site_type_symbol
_atom_site_fract_x
_atom_site_fract_y
_atom_site_fract_z
Tb1 Tb 0.000 0.000 0.000
Tb2 Tb 0.198 0.439 0.000
Tb3 Tb 0.274 0.726 0.500
Tb4 Tb 0.439 0.198 0.000
Tb5 Tb 0.561 0.802 0.000
Tb6 Tb 0.726 0.274 0.500
Tb7 Tb 0.802 0.561 0.000
Dy1 Dy 0.500 0.500 0.500
In1 In 0.196 0.804 0.000
In2 In 0.804 0.196 0.000
```

Principal peaks in the range 2θ = 10–80°, by angle:
d = 5.377 Å, intensity 49
d = 4.441 Å, intensity 31
d = 3.487 Å, intensity 28
d = 3.152 Å, intensity 62
d = 2.965 Å, intensity 80
d = 2.688 Å, intensity 65
d = 2.618 Å, intensity 85
d = 2.584 Å, intensity 100
d = 1.992 Å, intensity 52
d = 1.515 Å, intensity 28

No. 3
Structure and computed XRD peak list of Tb2Dy4In (a crystal structure in Alexandria, relaxed with GGA-PBE; Cu Ka).
No peak broadening, texture or thermal motion is included.

Cell and atoms:
```
data_Tb2Dy4In
_chemical_formula_sum 'Tb4 Dy8 In2'
_cell_length_a 5.737
_cell_length_b 6.667
_cell_length_c 11.507
_cell_angle_alpha 90.00
_cell_angle_beta 103.68
_cell_angle_gamma 90.00
_space_group_name_H-M_alt 'P 1'
_space_group_IT_number 1
loop_
_space_group_symop_operation_xyz
'x,y,z'
loop_
_atom_site_label
_atom_site_type_symbol
_atom_site_fract_x
_atom_site_fract_y
_atom_site_fract_z
Tb1 Tb 0.041 0.250 0.477
Tb2 Tb 0.334 0.750 0.074
Tb3 Tb 0.666 0.250 0.926
Tb4 Tb 0.959 0.750 0.523
Dy1 Dy 0.159 0.008 0.787
Dy2 Dy 0.159 0.492 0.787
Dy3 Dy 0.221 0.250 0.067
Dy4 Dy 0.391 0.750 0.372
Dy5 Dy 0.609 0.250 0.628
Dy6 Dy 0.779 0.750 0.933
Dy7 Dy 0.841 0.508 0.213
Dy8 Dy 0.841 0.992 0.213
In1 In 0.465 0.250 0.339
In2 In 0.535 0.750 0.661
```

Principal peaks in the range 2θ = 10–80°, by angle:
d = 3.334 Å, intensity 16
d = 3.102 Å, intensity 14
d = 2.865 Å, intensity 100
d = 2.856 Å, intensity 18
d = 2.807 Å, intensity 60
d = 2.775 Å, intensity 49
d = 2.694 Å, intensity 33
d = 2.682 Å, intensity 28
d = 1.667 Å, intensity 20
d = 1.433 Å, intensity 17

No. 4
Structure and computed XRD peak list of Tb5Dy2In4 (a crystal structure in Alexandria, relaxed with GGA-PBE; Cu Ka).
No peak broadening, texture or thermal motion is included.

Cell and atoms:
```
data_Tb5Dy2In4
_chemical_formula_sum 'Tb5 Dy2 In4'
_cell_length_a 8.620
_cell_length_b 3.428
_cell_length_c 10.537
_cell_angle_alpha 90.00
_cell_angle_beta 95.94
_cell_angle_gamma 90.00
_space_group_name_H-M_alt 'P 1'
_space_group_IT_number 1
loop_
_space_group_symop_operation_xyz
'x,y,z'
loop_
_atom_site_label
_atom_site_type_symbol
_atom_site_fract_x
_atom_site_fract_y
_atom_site_fract_z
Tb1 Tb 0.000 0.000 0.000
Tb2 Tb 0.037 0.000 0.333
Tb3 Tb 0.338 0.000 0.857
Tb4 Tb 0.662 0.000 0.143
Tb5 Tb 0.963 0.000 0.667
Dy1 Dy 0.416 0.000 0.361
Dy2 Dy 0.584 0.000 0.639
In1 In 0.253 0.500 0.577
In2 In 0.300 0.500 0.118
In3 In 0.700 0.500 0.882
In4 In 0.747 0.500 0.423
```

Principal peaks in the range 2θ = 10–80°, by angle:
d = 3.428 Å, intensity 22
d = 2.857 Å, intensity 47
d = 2.833 Å, intensity 20
d = 2.768 Å, intensity 40
d = 2.676 Å, intensity 100
d = 2.623 Å, intensity 41
d = 2.581 Å, intensity 49
d = 2.448 Å, intensity 42
d = 2.195 Å, intensity 22
d = 1.557 Å, intensity 33

No. 5
Structure and computed XRD peak list of TbDyIn (a crystal structure in Alexandria, relaxed with GGA-PBE; Cu Ka).
No peak broadening, texture or thermal motion is included.

Cell and atoms:
```
data_TbDyIn
_chemical_formula_sum 'Tb2 Dy2 In2'
_cell_length_a 4.620
_cell_length_b 4.620
_cell_length_c 8.349
_cell_angle_alpha 90.00
_cell_angle_beta 90.00
_cell_angle_gamma 90.00
_space_group_name_H-M_alt 'P 1'
_space_group_IT_number 1
loop_
_space_group_symop_operation_xyz
'x,y,z'
loop_
_atom_site_label
_atom_site_type_symbol
_atom_site_fract_x
_atom_site_fract_y
_atom_site_fract_z
Tb1 Tb 0.250 0.750 0.000
Tb2 Tb 0.750 0.250 0.000
Dy1 Dy 0.250 0.250 0.353
Dy2 Dy 0.750 0.750 0.647
In1 In 0.250 0.250 0.727
In2 In 0.750 0.750 0.273
```

Principal peaks in the range 2θ = 10–80°, by angle:
d = 3.097 Å, intensity 21
d = 3.042 Å, intensity 100
d = 2.783 Å, intensity 34
d = 2.573 Å, intensity 85
d = 2.384 Å, intensity 19
d = 2.310 Å, intensity 60
d = 1.777 Å, intensity 36
d = 1.633 Å, intensity 21
d = 1.439 Å, intensity 21
d = 1.379 Å, intensity 24

No. 6
Structure and computed XRD peak list of Tb5Dy2In (a crystal structure in Alexandria, relaxed with GGA-PBE; Cu Ka).
No peak broadening, texture or thermal motion is included.

Cell and atoms:
```
data_Tb5Dy2In
_chemical_formula_sum 'Tb10 Dy4 In2'
_cell_length_a 4.908
_cell_length_b 4.908
_cell_length_c 20.128
_cell_angle_alpha 90.00
_cell_angle_beta 90.00
_cell_angle_gamma 90.00
_space_group_name_H-M_alt 'P 1'
_space_group_IT_number 1
loop_
_space_group_symop_operation_xyz
'x,y,z'
loop_
_atom_site_label
_atom_site_type_symbol
_atom_site_fract_x
_atom_site_fract_y
_atom_site_fract_z
Tb1 Tb 0.000 0.000 0.000
Tb2 Tb 0.000 0.500 0.122
Tb3 Tb 0.000 0.500 0.378
Tb4 Tb 0.000 0.500 0.622
Tb5 Tb 0.000 0.500 0.878
Tb6 Tb 0.500 0.000 0.122
Tb7 Tb 0.500 0.000 0.378
Tb8 Tb 0.500 0.000 0.622
Tb9 Tb 0.500 0.000 0.878
Tb10 Tb 0.500 0.500 0.500
Dy1 Dy 0.000 0.000 0.247
Dy2 Dy 0.000 0.000 0.753
Dy3 Dy 0.500 0.500 0.253
Dy4 Dy 0.500 0.500 0.747
In1 In 0.000 0.000 0.500
In2 In 0.500 0.500 0.000
```

Principal peaks in the range 2θ = 10–80°, by angle:
d = 2.857 Å, intensity 100
d = 2.516 Å, intensity 17
d = 2.454 Å, intensity 33
d = 1.757 Å, intensity 24
d = 1.735 Å, intensity 12
d = 1.510 Å, intensity 14
d = 1.483 Å, intensity 28
d = 1.429 Å, intensity 12
d = 1.258 Å, intensity 2
d = 1.227 Å, intensity 4

No. 7
Structure and computed XRD peak list of Tb5Dy3In2 (a crystal structure in Alexandria, relaxed with GGA-PBE; Cu Ka).
No peak broadening, texture or thermal motion is included.

Cell and atoms:
```
data_Tb5Dy3In2
_chemical_formula_sum 'Tb10 Dy6 In4'
_cell_length_a 10.568
_cell_length_b 10.568
_cell_length_c 10.568
_cell_angle_alpha 105.59
_cell_angle_beta 84.97
_cell_angle_gamma 144.98
_space_group_name_H-M_alt 'P 1'
_space_group_IT_number 1
loop_
_space_group_symop_operation_xyz
'x,y,z'
loop_
_atom_site_label
_atom_site_type_symbol
_atom_site_fract_x
_atom_site_fract_y
_atom_site_fract_z
Tb1 Tb 0.164 0.127 0.291
Tb2 Tb 0.250 0.000 0.750
Tb3 Tb 0.250 0.250 0.000
Tb4 Tb 0.250 0.500 0.250
Tb5 Tb 0.336 0.627 0.963
Tb6 Tb 0.664 0.373 0.037
Tb7 Tb 0.750 0.000 0.250
Tb8 Tb 0.750 0.500 0.750
Tb9 Tb 0.750 0.750 0.000
Tb10 Tb 0.836 0.873 0.709
Dy1 Dy 0.232 0.390 0.622
Dy2 Dy 0.250 0.750 0.500
Dy3 Dy 0.268 0.890 0.158
Dy4 Dy 0.732 0.110 0.842
Dy5 Dy 0.750 0.250 0.500
Dy6 Dy 0.768 0.610 0.378
In1 In 0.146 0.633 0.779
In2 In 0.354 0.133 0.487
In3 In 0.646 0.867 0.513
In4 In 0.854 0.367 0.221
```

Principal peaks in the range 2θ = 10–80°, by angle:
d = 3.897 Å, intensity 23
d = 3.405 Å, intensity 35
d = 2.956 Å, intensity 97
d = 2.944 Å, intensity 100
d = 2.564 Å, intensity 63
d = 2.471 Å, intensity 25
d = 2.464 Å, intensity 24
d = 2.254 Å, intensity 77
d = 1.702 Å, intensity 23
d = 1.400 Å, intensity 42

No. 8
Structure and computed XRD peak list of Tb3Dy12In (a crystal structure in Alexandria, relaxed with GGA-PBE; Cu Ka).
No peak broadening, texture or thermal motion is included.

Cell and atoms:
```
data_Tb3Dy12In
_chemical_formula_sum 'Tb3 Dy12 In1'
_cell_length_a 4.954
_cell_length_b 4.954
_cell_length_c 20.099
_cell_angle_alpha 90.00
_cell_angle_beta 90.00
_cell_angle_gamma 90.00
_space_group_name_H-M_alt 'P 1'
_space_group_IT_number 1
loop_
_space_group_symop_operation_xyz
'x,y,z'
loop_
_atom_site_label
_atom_site_type_symbol
_atom_site_fract_x
_atom_site_fract_y
_atom_site_fract_z
Tb1 Tb 0.000 0.000 0.000
Tb2 Tb 0.000 0.000 0.252
Tb3 Tb 0.000 0.000 0.748
Dy1 Dy 0.000 0.500 0.127
Dy2 Dy 0.000 0.500 0.379
Dy3 Dy 0.000 0.500 0.621
Dy4 Dy 0.000 0.500 0.873
Dy5 Dy 0.500 0.000 0.127
Dy6 Dy 0.500 0.000 0.379
Dy7 Dy 0.500 0.000 0.621
Dy8 Dy 0.500 0.000 0.873
Dy9 Dy 0.500 0.500 0.000
Dy10 Dy 0.500 0.500 0.255
Dy11 Dy 0.500 0.500 0.500
Dy12 Dy 0.500 0.500 0.745
In1 In 0.000 0.000 0.500
```

Principal peaks in the range 2θ = 10–80°, by angle:
d = 2.874 Å, intensity 100
d = 2.512 Å, intensity 17
d = 2.477 Å, intensity 33
d = 1.764 Å, intensity 24
d = 1.752 Å, intensity 12
d = 1.511 Å, intensity 14
d = 1.496 Å, intensity 28
d = 1.437 Å, intensity 12
d = 1.256 Å, intensity 2
d = 1.239 Å, intensity 4

No. 9
Structure and computed XRD peak list of Tb7Dy3In2 (a crystal structure in Alexandria, relaxed with GGA-PBE; Cu Ka).
No peak broadening, texture or thermal motion is included.

Cell and atoms:
```
data_Tb7Dy3In2
_chemical_formula_sum 'Tb7 Dy3 In2'
_cell_length_a 11.079
_cell_length_b 11.079
_cell_length_c 11.079
_cell_angle_alpha 34.53
_cell_angle_beta 34.53
_cell_angle_gamma 34.53
_space_group_name_H-M_alt 'P 1'
_space_group_IT_number 1
loop_
_space_group_symop_operation_xyz
'x,y,z'
loop_
_atom_site_label
_atom_site_type_symbol
_atom_site_fract_x
_atom_site_fract_y
_atom_site_fract_z
Tb1 Tb 0.000 0.000 0.000
Tb2 Tb 0.083 0.083 0.578
Tb3 Tb 0.083 0.578 0.083
Tb4 Tb 0.422 0.917 0.917
Tb5 Tb 0.578 0.083 0.083
Tb6 Tb 0.917 0.422 0.917
Tb7 Tb 0.917 0.917 0.422
Dy1 Dy 0.358 0.358 0.358
Dy2 Dy 0.500 0.500 0.500
Dy3 Dy 0.642 0.642 0.642
In1 In 0.166 0.166 0.166
In2 In 0.834 0.834 0.834
```

Principal peaks in the range 2θ = 10–80°, by angle:
d = 3.512 Å, intensity 19
d = 3.289 Å, intensity 22
d = 3.220 Å, intensity 24
d = 2.836 Å, intensity 39
d = 2.780 Å, intensity 100
d = 2.602 Å, intensity 24
d = 2.591 Å, intensity 34
d = 1.784 Å, intensity 27
d = 1.644 Å, intensity 31
d = 1.390 Å, intensity 26

No. 10
Structure and computed XRD peak list of Tb2Dy3In2 (a crystal structure in Alexandria, relaxed with GGA-PBE; Cu Ka).
No peak broadening, texture or thermal motion is included.

Cell and atoms:
```
data_Tb2Dy3In2
_chemical_formula_sum 'Tb4 Dy6 In4'
_cell_length_a 9.327
_cell_length_b 5.389
_cell_length_c 8.605
_cell_angle_alpha 90.00
_cell_angle_beta 111.22
_cell_angle_gamma 90.00
_space_group_name_H-M_alt 'P 1'
_space_group_IT_number 1
loop_
_space_group_symop_operation_xyz
'x,y,z'
loop_
_atom_site_label
_atom_site_type_symbol
_atom_site_fract_x
_atom_site_fract_y
_atom_site_fract_z
Tb1 Tb 0.076 0.000 0.228
Tb2 Tb 0.424 0.500 0.772
Tb3 Tb 0.576 0.500 0.228
Tb4 Tb 0.924 0.000 0.772
Dy1 Dy 0.000 0.500 0.500
Dy2 Dy 0.153 0.500 0.960
Dy3 Dy 0.347 0.000 0.040
Dy4 Dy 0.500 0.000 0.500
Dy5 Dy 0.653 0.000 0.960
Dy6 Dy 0.847 0.500 0.040
In1 In 0.217 0.000 0.650
In2 In 0.283 0.500 0.350
In3 In 0.717 0.500 0.650
In4 In 0.783 0.000 0.350
```

Principal peaks in the range 2θ = 10–80°, by angle:
d = 2.768 Å, intensity 99
d = 2.694 Å, intensity 100
d = 1.930 Å, intensity 35
d = 1.613 Å, intensity 15
d = 1.569 Å, intensity 36
d = 1.555 Å, intensity 19
d = 1.384 Å, intensity 9
d = 1.347 Å, intensity 12
d = 1.231 Å, intensity 12
d = 1.211 Å, intensity 15

No. 11
Structure and computed XRD peak list of Tb2Dy5In (a crystal structure in Alexandria, relaxed with GGA-PBE; Cu Ka).
No peak broadening, texture or thermal motion is included.

Cell and atoms:
```
data_Tb2Dy5In
_chemical_formula_sum 'Tb4 Dy10 In2'
_cell_length_a 4.897
_cell_length_b 4.897
_cell_length_c 20.103
_cell_angle_alpha 90.00
_cell_angle_beta 90.00
_cell_angle_gamma 90.00
_space_group_name_H-M_alt 'P 1'
_space_group_IT_number 1
loop_
_space_group_symop_operation_xyz
'x,y,z'
loop_
_atom_site_label
_atom_site_type_symbol
_atom_site_fract_x
_atom_site_fract_y
_atom_site_fract_z
Tb1 Tb 0.000 0.000 0.246
Tb2 Tb 0.000 0.000 0.754
Tb3 Tb 0.500 0.500 0.254
Tb4 Tb 0.500 0.500 0.746
Dy1 Dy 0.000 0.000 0.000
Dy2 Dy 0.000 0.500 0.122
Dy3 Dy 0.000 0.500 0.378
Dy4 Dy 0.000 0.500 0.622
Dy5 Dy 0.000 0.500 0.878
Dy6 Dy 0.500 0.000 0.122
Dy7 Dy 0.500 0.000 0.378
Dy8 Dy 0.500 0.000 0.622
Dy9 Dy 0.500 0.000 0.878
Dy10 Dy 0.500 0.500 0.500
In1 In 0.000 0.000 0.500
In2 In 0.500 0.500 0.000
```

Principal peaks in the range 2θ = 10–80°, by angle:
d = 2.852 Å, intensity 100
d = 2.513 Å, intensity 17
d = 2.449 Å, intensity 33
d = 1.754 Å, intensity 24
d = 1.732 Å, intensity 12
d = 1.508 Å, intensity 14
d = 1.480 Å, intensity 27
d = 1.426 Å, intensity 12
d = 1.256 Å, intensity 2
d = 1.224 Å, intensity 4

No. 12
Structure and computed XRD peak list of Tb5DyTmIn2 (a crystal structure in Alexandria, relaxed with GGA-PBE; Cu Ka).
No peak broadening, texture or thermal motion is included.

Cell and atoms:
```
data_Tb5DyTmIn2
_chemical_formula_sum 'Tb10 Dy2 Tm2 In4'
_cell_length_a 11.061
_cell_length_b 11.061
_cell_length_c 11.061
_cell_angle_alpha 139.51
_cell_angle_beta 139.51
_cell_angle_gamma 58.60
_space_group_name_H-M_alt 'P 1'
_space_group_IT_number 1
loop_
_space_group_symop_operation_xyz
'x,y,z'
loop_
_atom_site_label
_atom_site_type_symbol
_atom_site_fract_x
_atom_site_fract_y
_atom_site_fract_z
Tb1 Tb 0.000 0.000 0.000
Tb2 Tb 0.076 0.576 0.903
Tb3 Tb 0.173 0.076 0.500
Tb4 Tb 0.327 0.827 0.903
Tb5 Tb 0.424 0.327 0.500
Tb6 Tb 0.500 0.500 0.000
Tb7 Tb 0.576 0.673 0.500
Tb8 Tb 0.673 0.173 0.097
Tb9 Tb 0.827 0.924 0.500
Tb10 Tb 0.924 0.424 0.097
Dy1 Dy 0.250 0.250 0.000
Dy2 Dy 0.750 0.750 0.000
Tm1 Tm 0.250 0.750 0.500
Tm2 Tm 0.750 0.250 0.500
In1 In 0.123 0.377 0.500
In2 In 0.377 0.877 0.254
In3 In 0.623 0.123 0.746
In4 In 0.877 0.623 0.500
```

Principal peaks in the range 2θ = 10–80°, by angle:
d = 3.022 Å, intensity 34
d = 2.998 Å, intensity 100
d = 2.707 Å, intensity 31
d = 2.561 Å, intensity 21
d = 2.421 Å, intensity 9
d = 2.411 Å, intensity 25
d = 1.848 Å, intensity 8
d = 1.801 Å, intensity 19
d = 1.613 Å, intensity 14
d = 1.482 Å, intensity 14

No. 13
Structure and computed XRD peak list of Tb5DyTm2In (a crystal structure in Alexandria, relaxed with GGA-PBE; Cu Ka).
No peak broadening, texture or thermal motion is included.

Cell and atoms:
```
data_Tb5DyTm2In
_chemical_formula_sum 'Tb10 Dy2 Tm4 In2'
_cell_length_a 10.354
_cell_length_b 10.354
_cell_length_c 10.521
_cell_angle_alpha 90.00
_cell_angle_beta 90.00
_cell_angle_gamma 150.04
_space_group_name_H-M_alt 'P 1'
_space_group_IT_number 1
loop_
_space_group_symop_operation_xyz
'x,y,z'
loop_
_atom_site_label
_atom_site_type_symbol
_atom_site_fract_x
_atom_site_fract_y
_atom_site_fract_z
Tb1 Tb 0.000 0.000 0.000
Tb2 Tb 0.000 0.000 0.500
Tb3 Tb 0.118 0.882 0.750
Tb4 Tb 0.211 0.789 0.050
Tb5 Tb 0.211 0.789 0.450
Tb6 Tb 0.488 0.512 0.750
Tb7 Tb 0.512 0.488 0.250
Tb8 Tb 0.789 0.211 0.550
Tb9 Tb 0.789 0.211 0.950
Tb10 Tb 0.882 0.118 0.250
Dy1 Dy 0.294 0.706 0.750
Dy2 Dy 0.706 0.294 0.250
Tm1 Tm 0.384 0.616 0.040
Tm2 Tm 0.384 0.616 0.460
Tm3 Tm 0.616 0.384 0.540
Tm4 Tm 0.616 0.384 0.960
In1 In 0.095 0.905 0.250
In2 In 0.905 0.095 0.750
```

Principal peaks in the range 2θ = 10–80°, by angle:
d = 3.270 Å, intensity 11
d = 3.178 Å, intensity 13
d = 2.902 Å, intensity 30
d = 2.737 Å, intensity 100
d = 2.677 Å, intensity 32
d = 2.630 Å, intensity 16
d = 1.876 Å, intensity 12
d = 1.557 Å, intensity 18
d = 1.546 Å, intensity 9
d = 1.482 Å, intensity 10